Record 1
Computed powder X-ray diffraction pattern
Compound: Ho3Ga2
Radiation: Cu Kα, 1.54184 Å
Structure: a cell relaxed with PBE
Peak positions follow from Bragg's law for the DFT cell and can differ from measured ones.

Crystal structure
```
data_Ho3Ga2
_chemical_formula_sum 'Ho48 Ga32'
_space_group_name_H-M_alt 'I 4/m c m'
_space_group_IT_number 140
_space_group_name_Hall '-I 4 2c'
_cell_length_a 11.552
_cell_length_b 11.552
_cell_length_c 14.796
_cell_angle_alpha 90.00
_cell_angle_beta 90.00
_cell_angle_gamma 90.00
loop_
_atom_site_label
_atom_site_fract_x
_atom_site_fract_y
_atom_site_fract_z
_atom_site_occupancy
Ho1 0.000 0.500 0.146 1
Ho2 0.067 0.203 0.135 1
Ho3 0.169 0.331 0.500 1
Ga1 0.000 0.000 0.000 1
Ga2 0.000 0.000 0.250 1
Ga3 0.117 0.383 0.000 1
Ga4 0.177 0.323 0.299 1
```

Most intense lines, 2θ = 10–90°, by angle:
2θ/deg  d [Å]  Rel. int.  h k l
32.53  2.753  84  4 1 1
32.66  2.742  23  2 2 4
32.90  2.723  32  3 3 0
33.34  2.687  43  3 2 3
34.51  2.599  100  3 1 4
34.73  2.583  27  4 2 0
34.94  2.568  20  2 1 5
36.90  2.436  30  4 1 3
54.38  1.687  19  4 1 7
62.11  1.494  20  7 1 4


Record 2
Computed powder X-ray diffraction pattern
Compound: In2Ag2GeSe6
Radiation: Cu Kα, 1.54184 Å
Structure: a cell relaxed with PBE
Peak positions follow from Bragg's law for the DFT cell and can differ from measured ones.

Crystal structure
```
data_In2Ag2GeSe6
_chemical_formula_sum 'In8 Ag8 Ge4 Se24'
_space_group_name_H-M_alt 'C 1 c 1'
_space_group_IT_number 9
_cell_length_a 13.010
_cell_length_b 7.685
_cell_length_c 12.945
_cell_angle_alpha 90.00
_cell_angle_beta 109.40
_cell_angle_gamma 90.00
loop_
_space_group_symop_operation_xyz
'x,y,z'
'x,-y,z+1/2'
'x+1/2,y+1/2,z'
'x+1/2,-y+1/2,z+1/2'
loop_
_atom_site_label
_atom_site_fract_x
_atom_site_fract_y
_atom_site_fract_z
_atom_site_occupancy
In1 0.000 0.064 0.000 1
In2 0.323 0.407 0.698 1
Ag1 0.139 0.290 0.343 1
Ag2 0.342 0.093 0.007 1
Ge1 0.069 0.233 0.757 1
Se1 0.118 0.484 0.676 1
Se2 0.144 0.014 0.200 1
Se3 0.144 0.260 0.950 1
Se4 0.329 0.258 0.514 1
Se5 0.376 0.255 0.209 1
Se6 0.449 0.269 0.887 1
```

Most intense lines, 2θ = 10–90°, by angle:
2θ/deg  d [Å]  Rel. int.  h k l
24.28  3.665  57  0 2 1
24.69  3.606  88  3 1 -2
27.43  3.252  59  0 2 2
27.82  3.207  79  1 1 3
27.87  3.201  50  4 0 -2
28.70  3.110  100  2 2 -2
29.11  3.068  53  4 0 0
29.26  3.053  48  0 0 4
40.95  2.204  57  1 3 -3
43.65  2.074  87  3 3 -3


Record 3
Computed powder X-ray diffraction pattern
Compound: DyTl
Radiation: Cu Kα, 1.54184 Å
Structure: a cell relaxed with PBE
Peak positions follow from Bragg's law for the DFT cell and can differ from measured ones.

Crystal structure
```
data_DyTl
_chemical_formula_sum 'Dy1 Tl1'
_space_group_name_H-M_alt 'P m -3 m'
_space_group_IT_number 221
_space_group_name_Hall '-P 4 2 3'
_cell_length_a 3.769
_cell_length_b 3.769
_cell_length_c 3.769
_cell_angle_alpha 90.00
_cell_angle_beta 90.00
_cell_angle_gamma 90.00
loop_
_atom_site_label
_atom_site_fract_x
_atom_site_fract_y
_atom_site_fract_z
_atom_site_occupancy
Dy1 0.000 0.000 0.000 1
Tl1 0.500 0.500 0.500 1
```

Most intense lines, 2θ = 10–90°, by angle:
2θ/deg  d [Å]  Rel. int.  h k l
23.61  3.769  1  1 0 0
33.63  2.665  100  1 1 0
48.30  1.884  18  2 0 0
54.44  1.686  1  2 1 0
60.14  1.539  38  2 1 1
70.70  1.333  12  2 2 0
80.61  1.192  17  3 1 0


Record 4
Computed powder X-ray diffraction pattern
Compound: Os4PbO9
Radiation: Cu Kα, 1.54184 Å
Structure: a cell relaxed with PBE
Peak positions follow from Bragg's law for the DFT cell and can differ from measured ones.

Crystal structure
```
data_Os4PbO9
_chemical_formula_sum 'Os8 Pb2 O18'
_space_group_name_H-M_alt 'C 1 2 1'
_space_group_IT_number 5
_cell_length_a 7.072
_cell_length_b 11.616
_cell_length_c 4.731
_cell_angle_alpha 90.00
_cell_angle_beta 112.25
_cell_angle_gamma 90.00
loop_
_space_group_symop_operation_xyz
'x,y,z'
'-x,y,-z'
'x+1/2,y+1/2,z'
'-x+1/2,y+1/2,-z'
loop_
_atom_site_label
_atom_site_fract_x
_atom_site_fract_y
_atom_site_fract_z
_atom_site_occupancy
Os1 0.000 0.000 0.000 1
Os2 0.000 0.221 0.500 1
Os3 0.184 0.847 0.842 1
Pb1 0.000 0.539 0.500 1
O1 0.000 0.761 0.500 1
O2 0.115 0.354 0.351 1
O3 0.128 0.106 0.330 1
O4 0.228 0.502 0.053 1
O5 0.242 0.231 0.876 1
```

Most intense lines, 2θ = 10–90°, by angle:
2θ/deg  d [Å]  Rel. int.  h k l
25.48  3.496  38  0 2 1
26.75  3.333  31  1 3 0
27.15  3.285  42  2 0 -1
29.54  3.024  100  1 1 1
30.41  2.939  95  1 3 -1
31.34  2.854  59  2 2 0
41.56  2.173  34  2 4 0
45.31  2.001  26  3 3 -1
52.32  1.749  25  0 4 2
59.00  1.565  32  2 0 2


Record 5
Computed powder X-ray diffraction pattern
Compound: HgAsPdO
Radiation: Cu Kα, 1.54184 Å
Structure: a cell relaxed with PBE
Peak positions follow from Bragg's law for the DFT cell and can differ from measured ones.

Crystal structure
```
data_HgAsPdO
_chemical_formula_sum 'Hg2 As2 Pd2 O2'
_space_group_name_H-M_alt 'P 4/n m m'
_space_group_IT_number 129
_cell_length_a 4.357
_cell_length_b 4.357
_cell_length_c 7.313
_cell_angle_alpha 90.00
_cell_angle_beta 90.00
_cell_angle_gamma 90.00
loop_
_space_group_symop_operation_xyz
'x,y,z'
'-x,-y,-z'
'-y+1/2,x,z'
'y+1/2,-x,-z'
'-x+1/2,-y+1/2,z'
'x+1/2,y+1/2,-z'
'y,-x+1/2,z'
'-y,x+1/2,-z'
'x+1/2,-y,-z'
'-x+1/2,y,z'
'-y,-x,-z'
'y,x,z'
'-x,y+1/2,-z'
'x,-y+1/2,z'
'y+1/2,x+1/2,-z'
'-y+1/2,-x+1/2,z'
loop_
_atom_site_label
_atom_site_fract_x
_atom_site_fract_y
_atom_site_fract_z
_atom_site_occupancy
Hg1 0.250 0.250 0.115 1
As1 0.250 0.250 0.668 1
Pd1 0.250 0.750 0.500 1
O1 0.250 0.750 0.000 1
```

Most intense lines, 2θ = 10–90°, by angle:
2θ/deg  d [Å]  Rel. int.  h k l
28.98  3.081  21  1 1 0
31.51  2.839  61  1 1 1
31.95  2.801  100  1 0 2
38.20  2.356  17  1 1 2
41.44  2.179  57  2 0 0
42.49  2.127  18  1 0 3
53.27  1.720  48  2 1 2
58.72  1.572  31  1 1 4
60.05  1.541  19  2 2 0
88.95  1.100  20  3 1 4


Record 6
Computed powder X-ray diffraction pattern
Compound: CuTe2Cl6
Radiation: Cu Kα, 1.54184 Å
Structure: a cell relaxed with PBE
Peak positions follow from Bragg's law for the DFT cell and can differ from measured ones.

Crystal structure
```
data_CuTe2Cl6
_chemical_formula_sum 'Cu1 Te2 Cl6'
_space_group_name_H-M_alt 'P -1'
_space_group_IT_number 2
_cell_length_a 4.424
_cell_length_b 7.275
_cell_length_c 8.742
_cell_angle_alpha 102.31
_cell_angle_beta 96.58
_cell_angle_gamma 92.86
loop_
_space_group_symop_operation_xyz
'x,y,z'
'-x,-y,-z'
loop_
_atom_site_label
_atom_site_fract_x
_atom_site_fract_y
_atom_site_fract_z
_atom_site_occupancy
Cu1 0.000 0.000 0.000 1
Te1 0.366 0.230 0.221 1
Cl1 0.094 0.503 0.215 1
Cl2 0.249 0.195 0.470 1
Cl3 0.320 0.123 0.857 1
```

Most intense lines, 2θ = 10–90°, by angle:
2θ/deg  d [Å]  Rel. int.  h k l
10.44  8.470  27  0 0 1
12.49  7.086  19  0 1 0
14.42  6.143  100  0 1 -1
21.60  4.113  24  1 0 -1
23.03  3.862  31  1 -1 0
24.68  3.607  51  1 1 0
31.22  2.865  48  1 -2 0
35.87  2.503  32  1 1 -3
36.06  2.491  21  1 1 2
41.92  2.155  22  1 -3 1


Record 7
Computed powder X-ray diffraction pattern
Compound: P11Pd3
Radiation: Cu Kα, 1.54184 Å
Structure: a cell relaxed with PBE
Peak positions follow from Bragg's law for the DFT cell and can differ from measured ones.

Crystal structure
```
data_P11Pd3
_chemical_formula_sum 'P22 Pd6'
_space_group_name_H-M_alt 'C 1 m 1'
_space_group_IT_number 8
_cell_length_a 12.432
_cell_length_b 7.515
_cell_length_c 6.188
_cell_angle_alpha 90.00
_cell_angle_beta 115.91
_cell_angle_gamma 90.00
loop_
_space_group_symop_operation_xyz
'x,y,z'
'x,-y,z'
'x+1/2,y+1/2,z'
'x+1/2,-y+1/2,z'
loop_
_atom_site_label
_atom_site_fract_x
_atom_site_fract_y
_atom_site_fract_z
_atom_site_occupancy
P1 0.000 0.000 0.000 1
P2 0.014 0.259 0.503 1
P3 0.060 0.250 0.901 1
P4 0.111 0.500 0.481 1
P5 0.254 0.233 0.999 1
P6 0.284 0.000 0.822 1
P7 0.319 0.151 0.381 1
Pd1 0.120 0.000 0.423 1
Pd2 0.292 0.500 0.846 1
Pd3 0.499 0.000 0.038 1
```

Most intense lines, 2θ = 10–90°, by angle:
2θ/deg  d [Å]  Rel. int.  h k l
16.87  5.257  33  2 0 -1
23.88  3.726  45  1 1 1
29.21  3.057  100  2 2 -1
32.02  2.796  22  4 0 0
32.17  2.783  33  0 0 2
37.65  2.389  21  4 2 -1
42.00  2.151  23  4 0 1
48.85  1.864  30  4 2 1
50.76  1.799  29  2 2 -3
51.66  1.769  24  6 2 -2


Record 8
Computed powder X-ray diffraction pattern
Compound: ScNiIr2
Radiation: Cu Kα, 1.54184 Å
Structure: a cell relaxed with PBE
Peak positions follow from Bragg's law for the DFT cell and can differ from measured ones.

Crystal structure
```
data_ScNiIr2
_chemical_formula_sum 'Sc4 Ni4 Ir8'
_space_group_name_H-M_alt 'F -4 3 m'
_space_group_IT_number 216
_space_group_name_Hall 'F -4 2 3'
_cell_length_a 6.218
_cell_length_b 6.218
_cell_length_c 6.218
_cell_angle_alpha 90.00
_cell_angle_beta 90.00
_cell_angle_gamma 90.00
loop_
_atom_site_label
_atom_site_fract_x
_atom_site_fract_y
_atom_site_fract_z
_atom_site_occupancy
Sc1 0.000 0.000 0.000 1
Ni1 0.250 0.250 0.250 1
Ir1 0.000 0.000 0.500 1
Ir2 0.250 0.250 0.750 1
```

Most intense lines, 2θ = 10–90°, by angle:
2θ/deg  d [Å]  Rel. int.  h k l
24.80  3.590  37  1 1 1
41.06  2.198  100  2 2 0
48.56  1.875  20  3 1 1
59.47  1.554  17  4 0 0
65.43  1.426  8  3 3 1
74.81  1.269  34  4 2 2
80.22  1.197  7  5 1 1
89.08  1.099  11  4 4 0